# 1
# NiHClO
Theoretical X-ray diffraction stick pattern, Cu Ka. Input: the PBE+U geometry in Alexandria.

Lattice parameters (Å, degrees): 5.738 3.323 6.102 90.00 116.24 90.00
Space group Cm (No. 8)
Inequivalent atoms, fractional coordinates:
Ni  0.000  0.000  0.000
H  0.333  0.500  0.338
Cl  0.205  0.000  0.725
O  0.242  0.500  0.160

Principal peaks in the range 10 to 80 degrees two-theta, sorted by position:
Position (°2θ), d_spacing, I_rel, index
16.19, 5.473, 100, 0 0 1
32.06, 2.791, 43, 1 1 0
35.80, 2.508, 32, 2 0 -2
39.60, 2.276, 51, 1 1 1
40.24, 2.241, 13, 1 1 -2
46.58, 1.950, 10, 2 0 -3
52.97, 1.729, 16, 1 1 -3
55.30, 1.661, 9, 0 2 0
55.89, 1.645, 15, 3 1 -1
56.38, 1.632, 12, 3 1 -2

=====

# 2
# NiH8Cl2O4
Theoretical X-ray diffraction stick pattern, Cu Ka. Input: the PBE+U geometry in Alexandria.

Lattice parameters (Å, degrees): 5.949 9.391 11.548 90.00 110.65 90.00
Space group P2_1/c (No. 14)
Inequivalent atoms, fractional coordinates:
Ni  0.248  0.172  0.259
H  0.004  0.564  0.645
H  0.027  0.201  0.419
H  0.129  0.568  0.440
H  0.179  0.692  0.214
H  0.211  0.564  0.888
H  0.467  0.517  0.323
H  0.490  0.555  0.898
H  0.491  0.161  0.106
Cl  0.141  0.136  0.610
Cl  0.480  0.682  0.577
O  0.015  0.038  0.129
O  0.016  0.732  0.169
O  0.333  0.508  0.867
O  0.473  0.621  0.309

Principal peaks in the range 10 to 80 degrees two-theta, sorted by position:
Position (°2θ), d_spacing, I_rel, index
16.41, 5.403, 44, 0 0 2
18.53, 4.789, 84, 1 1 0
20.70, 4.292, 100, 1 1 -2
30.50, 2.931, 34, 2 0 -2
31.30, 2.858, 64, 0 2 3
33.08, 2.708, 21, 0 3 2
35.29, 2.543, 38, 1 3 1
37.33, 2.409, 24, 2 0 -4
45.01, 2.014, 24, 1 3 3
49.04, 1.858, 22, 1 3 -5